(1)
Calculated XRD peak list
Compound: Sm2Al6Au9
Radiation: λ = 1.5418 Å (Cu Kα)
Structure: a PBE-relaxed structure
Kinematic intensities with the Lorentz-polarization factor, no thermal factor.

Principal peaks in the range 5° ≤ 2θ ≤ 70°, low angle first:
two_theta, d (Å), Rel. int.
17.7, 5.020, 196
21.8, 4.083, 491
28.2, 3.168, 602
35.8, 2.510, 1000
38.1, 2.363, 465
42.3, 2.138, 781
44.4, 2.042, 227
53.2, 1.721, 212
58.3, 1.584, 489
64.3, 1.449, 232

Structural model:
Cell lengths 5.7965, 5.7965, 12.2503 Å; angles 90.00, 90.00, 120.00 degrees
Space group P6/mmm (No. 191)
Symmetry-distinct sites (fractional):
Sm (0.0000, 0.0000, 0.1756) (multiplicity 2)
Al (0.3333, 0.6667, 0.1654) (multiplicity 4)
Al (0.3333, 0.6667, 0.5000) (multiplicity 2)
Au (0.0000, 0.5000, 0.0000) (multiplicity 3)
Au (0.0000, 0.5000, 0.3320) (multiplicity 6)

---

(2)
Calculated XRD peak list
Compound: Li3PmCd4
Radiation: λ = 1.5418 Å (Cu Kα)
Structure: a PBE-relaxed structure
Kinematic intensities with the Lorentz-polarization factor, no thermal factor.

Principal peaks in the range 5° ≤ 2θ ≤ 70°, low angle first:
two_theta, d (Å), Rel. int.
22.4, 3.960, 344
25.4, 3.500, 528
27.5, 3.244, 294
32.4, 2.766, 430
35.1, 2.556, 835
37.5, 2.401, 1000
41.0, 2.200, 199
52.3, 1.750, 261
66.1, 1.414, 252
66.7, 1.403, 256

Structural model:
Cell lengths 4.8028, 4.8028, 25.9220 Å; angles 90.00, 90.00, 120.00 degrees
Space group R-3m (No. 166, hexagonal axes)
Symmetry-distinct sites (fractional):
Li (0.0000, 0.0000, 0.0000) (multiplicity 3)
Li (0.0000, 0.0000, 0.2574) (multiplicity 6)
Pm (0.0000, 0.0000, 0.5000) (multiplicity 3)
Cd (0.0000, 0.0000, 0.1058) (multiplicity 6)
Cd (0.0000, 0.0000, 0.3721) (multiplicity 6)

---

(3)
Calculated XRD peak list
Compound: La3AgSnS7
Radiation: λ = 1.5418 Å (Cu Kα)
Structure: a PBE-relaxed structure
Kinematic intensities with the Lorentz-polarization factor, no thermal factor.

Principal peaks in the range 5° ≤ 2θ ≤ 70°, low angle first:
two_theta, d (Å), Rel. int.
24.5, 3.635, 1000
26.0, 3.427, 248
29.4, 3.040, 270
31.0, 2.882, 259
34.3, 2.618, 664
35.6, 2.525, 262
35.7, 2.515, 308
39.6, 2.274, 419
45.7, 1.984, 274
46.9, 1.938, 247

Structural model:
Cell lengths 10.4706, 10.4706, 6.0796 Å; angles 90.00, 90.00, 120.00 degrees
Space group P6_3 (No. 173)
Symmetry-distinct sites (fractional):
La (0.1314, 0.3588, 0.0000) (multiplicity 6)
Ag (0.0000, 0.0000, 0.4237) (multiplicity 2)
Sn (0.3333, 0.6667, 0.5767) (multiplicity 2)
S (0.0939, 0.5784, 0.7475) (multiplicity 6)
S (0.1016, 0.2680, 0.4704) (multiplicity 6)
S (0.3333, 0.6667, 0.1856) (multiplicity 2)